# Rb2PRuCl6
Theoretical powder X-ray diffraction pattern, CuKα. Input: a cell relaxed with PBE.
Intensities are scaled so that the largest is 100.

Structural model:
```
data_Rb2PRuCl6
_chemical_formula_sum 'Rb4 P2 Ru2 Cl12'
_cell_length_a 7.5446
_cell_length_b 7.5446
_cell_length_c 9.0939
_cell_angle_alpha 90.00
_cell_angle_beta 90.00
_cell_angle_gamma 90.00
_space_group_name_H-M_alt 'I 4/m m m'
_space_group_IT_number 139
_space_group_name_Hall '-I 4 2'
loop_
_atom_site_label
_atom_site_type_symbol
_atom_site_fract_x
_atom_site_fract_y
_atom_site_fract_z
Rb1 Rb 0.0000 0.5000 0.2500
P1 P 0.0000 0.0000 0.0000
Ru1 Ru 0.0000 0.0000 0.5000
Cl1 Cl 0.0000 0.0000 0.2448
Cl2 Cl 0.2296 0.2296 0.5000
```

Top 8 peaks for 10° ≤ 2θ ≤ 90°, low angle first:
2θ/deg	d [Å]	intensity
15.3	5.806	41
23.6	3.772	54
25.7	3.461	86
30.8	2.903	61
33.6	2.667	100
42.8	2.113	41
48.2	1.886	32
52.9	1.730	50

# Rb2PSeCl5
Theoretical powder X-ray diffraction pattern, CuKα. Input: a cell relaxed with PBE.
Intensities are scaled so that the largest is 100.

Structural model:
```
data_Rb2PSeCl5
_chemical_formula_sum 'Rb4 P2 Se2 Cl10'
_cell_length_a 7.2082
_cell_length_b 7.2082
_cell_length_c 10.2503
_cell_angle_alpha 90.00
_cell_angle_beta 90.00
_cell_angle_gamma 90.00
_space_group_name_H-M_alt 'I 4 m m'
_space_group_IT_number 107
_space_group_name_Hall 'I 4 -2'
loop_
_atom_site_label
_atom_site_type_symbol
_atom_site_fract_x
_atom_site_fract_y
_atom_site_fract_z
Rb1 Rb 0.0000 0.5000 0.0000
P1 P 0.0000 0.0000 0.2343
Se1 Se 0.0000 0.0000 0.0149
Cl1 Cl 0.0000 0.0000 0.4581
Cl2 Cl 0.2216 0.2216 0.2533
```

Top 8 peaks for 10° ≤ 2θ ≤ 90°, low angle first:
2θ/deg	d [Å]	intensity
15.0	5.896	30
24.7	3.608	30
30.3	2.948	100
35.0	2.563	21
35.2	2.548	43
50.5	1.807	25
50.7	1.802	13
60.2	1.538	21

# RePCl
Theoretical powder X-ray diffraction pattern, CuKα. Input: a cell relaxed with PBE.
Intensities are scaled so that the largest is 100.

Structural model:
```
data_RePCl
_chemical_formula_sum 'Re2 P2 Cl2'
_cell_length_a 3.9478
_cell_length_b 3.0306
_cell_length_c 10.1375
_cell_angle_alpha 90.00
_cell_angle_beta 93.38
_cell_angle_gamma 90.00
_space_group_name_H-M_alt 'P 1 21/m 1'
_space_group_IT_number 11
_space_group_name_Hall '-P 2yb'
loop_
_atom_site_label
_atom_site_type_symbol
_atom_site_fract_x
_atom_site_fract_y
_atom_site_fract_z
Re1 Re 0.1336 0.2500 0.1152
P1 P 0.3451 0.2500 0.9022
Cl1 Cl 0.2294 0.2500 0.3411
```

Top 8 peaks for 10° ≤ 2θ ≤ 90°, low angle first:
2θ/deg	d [Å]	intensity
22.6	3.941	41
23.7	3.748	100
30.8	2.903	57
34.5	2.600	34
35.5	2.530	56
37.4	2.402	73
38.8	2.319	68
51.5	1.774	36

# Re4PCl
Theoretical powder X-ray diffraction pattern, CuKα. Input: a cell relaxed with PBE.
Intensities are scaled so that the largest is 100.

Structural model:
```
data_Re4PCl
_chemical_formula_sum 'Re16 P4 Cl4'
_cell_length_a 7.4313
_cell_length_b 7.4313
_cell_length_c 7.4313
_cell_angle_alpha 90.00
_cell_angle_beta 90.00
_cell_angle_gamma 90.00
_space_group_name_H-M_alt 'F -4 3 m'
_space_group_IT_number 216
_space_group_name_Hall 'F -4 2 3'
loop_
_atom_site_label
_atom_site_type_symbol
_atom_site_fract_x
_atom_site_fract_y
_atom_site_fract_z
Re1 Re 0.1246 0.1246 0.1246
P1 P 0.2500 0.2500 0.7500
Cl1 Cl 0.0000 0.0000 0.5000
```

Top 8 peaks for 10° ≤ 2θ ≤ 90°, low angle first:
2θ/deg	d [Å]	intensity
20.7	4.290	100
40.2	2.241	94
42.1	2.145	88
49.0	1.858	36
53.8	1.705	25
65.2	1.430	30
71.9	1.314	32
87.0	1.120	35

# RePCl
Theoretical powder X-ray diffraction pattern, CuKα. Input: a cell relaxed with PBE.
Intensities are scaled so that the largest is 100.

Structural model:
```
data_RePCl
_chemical_formula_sum 'Re2 P2 Cl2'
_cell_length_a 4.9443
_cell_length_b 3.3501
_cell_length_c 8.8115
_cell_angle_alpha 90.00
_cell_angle_beta 94.84
_cell_angle_gamma 90.00
_space_group_name_H-M_alt 'P 1 21/m 1'
_space_group_IT_number 11
_space_group_name_Hall '-P 2yb'
loop_
_atom_site_label
_atom_site_type_symbol
_atom_site_fract_x
_atom_site_fract_y
_atom_site_fract_z
Re1 Re 0.1676 0.2500 0.0864
P1 P 0.3232 0.7500 0.9285
Cl1 Cl 0.2258 0.2500 0.3466
```

Top 8 peaks for 10° ≤ 2θ ≤ 90°, low angle first:
2θ/deg	d [Å]	intensity
10.1	8.780	100
19.9	4.460	21
28.5	3.130	13
32.3	2.770	14
33.7	2.663	10
34.4	2.607	8
40.9	2.204	13
46.2	1.965	14

# ReP2Cl12
Theoretical powder X-ray diffraction pattern, CuKα. Input: a cell relaxed with PBE.
Intensities are scaled so that the largest is 100.

Structural model:
```
data_ReP2Cl12
_chemical_formula_sum 'Re2 P4 Cl24'
_cell_length_a 9.7545
_cell_length_b 11.0325
_cell_length_c 10.0856
_cell_angle_alpha 90.00
_cell_angle_beta 98.44
_cell_angle_gamma 90.00
_space_group_name_H-M_alt 'P 1 21/m 1'
_space_group_IT_number 11
_space_group_name_Hall '-P 2yb'
loop_
_atom_site_label
_atom_site_type_symbol
_atom_site_fract_x
_atom_site_fract_y
_atom_site_fract_z
Re1 Re 0.0979 0.2500 0.1404
P1 P 0.2921 0.7500 0.4395
P2 P 0.3837 0.2500 0.8692
Cl1 Cl 0.0442 0.2500 0.9097
Cl2 Cl 0.0643 0.6024 0.8446
Cl3 Cl 0.1591 0.2500 0.3687
Cl4 Cl 0.1597 0.6056 0.4524
Cl5 Cl 0.2632 0.1038 0.1203
Cl6 Cl 0.3787 0.1056 0.7390
Cl7 Cl 0.4028 0.7500 0.6307
Cl8 Cl 0.4111 0.7500 0.0451
```

Top 8 peaks for 10° ≤ 2θ ≤ 90°, low angle first:
2θ/deg	d [Å]	intensity
11.8	7.508	25
12.0	7.400	31
15.9	5.585	100
16.1	5.516	46
19.2	4.617	34
20.5	4.342	51
25.1	3.541	25
30.6	2.925	40

# Sm6PRu2Cl3
Theoretical powder X-ray diffraction pattern, CuKα. Input: a cell relaxed with PBE.
Intensities are scaled so that the largest is 100.

Structural model:
```
data_Sm6PRu2Cl3
_chemical_formula_sum 'Sm12 P2 Ru4 Cl6'
_cell_length_a 7.0724
_cell_length_b 12.2580
_cell_length_c 7.6770
_cell_angle_alpha 90.00
_cell_angle_beta 107.96
_cell_angle_gamma 90.00
_space_group_name_H-M_alt 'C 1 2/m 1'
_space_group_IT_number 12
_space_group_name_Hall '-C 2y'
loop_
_atom_site_label
_atom_site_type_symbol
_atom_site_fract_x
_atom_site_fract_y
_atom_site_fract_z
Sm1 Sm 0.2233 0.0000 0.2054
Sm2 Sm 0.2397 0.3279 0.2063
P1 P 0.0000 0.5000 0.0000
Ru1 Ru 0.0000 0.1674 0.0000
Cl1 Cl 0.0000 0.0000 0.5000
Cl2 Cl 0.0000 0.3387 0.5000
```

Top 8 peaks for 10° ≤ 2θ ≤ 90°, low angle first:
2θ/deg	d [Å]	intensity
12.1	7.303	28
26.5	3.366	27
30.1	2.972	100
38.4	2.344	17
41.7	2.166	29
44.4	2.042	37
54.5	1.683	18
72.8	1.299	15

# Sm4PS2Cl
Theoretical powder X-ray diffraction pattern, CuKα. Input: a cell relaxed with PBE.
Intensities are scaled so that the largest is 100.

Structural model:
```
data_Sm4PS2Cl
_chemical_formula_sum 'Sm4 P1 S2 Cl1'
_cell_length_a 6.9933
_cell_length_b 4.0590
_cell_length_c 7.0636
_cell_angle_alpha 90.00
_cell_angle_beta 109.50
_cell_angle_gamma 90.00
_space_group_name_H-M_alt 'P 1 2/m 1'
_space_group_IT_number 10
_space_group_name_Hall '-P 2y'
loop_
_atom_site_label
_atom_site_type_symbol
_atom_site_fract_x
_atom_site_fract_y
_atom_site_fract_z
Sm1 Sm 0.2284 0.0000 0.2222
Sm2 Sm 0.2441 0.5000 0.7685
P1 P 0.5000 0.0000 0.0000
S1 S 0.0000 0.0000 0.5000
S2 S 0.0000 0.5000 0.0000
Cl1 Cl 0.5000 0.5000 0.5000
```

Top 8 peaks for 10° ≤ 2θ ≤ 90°, low angle first:
2θ/deg	d [Å]	intensity
26.8	3.329	18
26.9	3.314	39
27.1	3.296	19
31.2	2.869	100
44.5	2.037	23
44.7	2.029	23
44.8	2.021	24
55.5	1.657	13

# TaP4S5Cl5
Theoretical powder X-ray diffraction pattern, CuKα. Input: a cell relaxed with PBE.
Intensities are scaled so that the largest is 100.

Structural model:
```
data_TaP4S5Cl5
_chemical_formula_sum 'Ta2 P8 S10 Cl10'
_cell_length_a 7.1887
_cell_length_b 10.7514
_cell_length_c 13.5515
_cell_angle_alpha 74.23
_cell_angle_beta 75.68
_cell_angle_gamma 76.01
_space_group_name_H-M_alt 'P -1'
_space_group_IT_number 2
_space_group_name_Hall '-P 1'
loop_
_atom_site_label
_atom_site_type_symbol
_atom_site_fract_x
_atom_site_fract_y
_atom_site_fract_z
Ta1 Ta 0.2440 0.2335 0.1664
P1 P 0.2690 0.3412 0.7564
P2 P 0.3230 0.2889 0.5116
P3 P 0.3908 0.0548 0.6869
P4 P 0.4076 0.8060 0.4132
S1 S 0.1531 0.4081 0.6169
S2 S 0.2316 0.0997 0.5675
S3 S 0.2378 0.1394 0.8136
S4 S 0.4242 0.6850 0.3150
S5 S 0.4532 0.8586 0.7321
Cl1 Cl 0.0118 0.6700 0.9181
Cl2 Cl 0.0405 0.2279 0.3343
Cl3 Cl 0.2229 0.0138 0.1858
Cl4 Cl 0.3311 0.4258 0.1762
Cl5 Cl 0.4754 0.2253 0.0121
```

Top 8 peaks for 10° ≤ 2θ ≤ 90°, low angle first:
2θ/deg	d [Å]	intensity
13.8	6.396	25
14.2	6.243	100
14.6	6.065	64
16.9	5.239	36
17.0	5.205	22
17.5	5.082	37
25.8	3.455	22
30.1	2.965	32

# TaP4S5Cl5
Theoretical powder X-ray diffraction pattern, CuKα. Input: a cell relaxed with PBE.
Intensities are scaled so that the largest is 100.

Structural model:
```
data_TaP4S5Cl5
_chemical_formula_sum 'Ta4 P16 S20 Cl20'
_cell_length_a 7.2193
_cell_length_b 14.4678
_cell_length_c 19.1548
_cell_angle_alpha 90.00
_cell_angle_beta 104.61
_cell_angle_gamma 90.00
_space_group_name_H-M_alt 'P 1 21/c 1'
_space_group_IT_number 14
_space_group_name_Hall '-P 2ybc'
loop_
_atom_site_label
_atom_site_type_symbol
_atom_site_fract_x
_atom_site_fract_y
_atom_site_fract_z
Ta1 Ta 0.2240 0.1982 0.0368
P1 P 0.0903 0.5143 0.8094
P2 P 0.1880 0.1433 0.6164
P3 P 0.2729 0.1700 0.7403
P4 P 0.4011 0.5463 0.1979
S1 S 0.0207 0.1217 0.7658
S2 S 0.0925 0.5915 0.9050
S3 S 0.1216 0.5909 0.2010
S4 S 0.3687 0.0346 0.6018
S5 S 0.4819 0.0649 0.7727
Cl1 Cl 0.0840 0.7365 0.5296
Cl2 Cl 0.0888 0.1344 0.1254
Cl3 Cl 0.2637 0.0647 0.9793
Cl4 Cl 0.3470 0.1982 0.4658
Cl5 Cl 0.4787 0.7018 0.3778
```

Top 8 peaks for 10° ≤ 2θ ≤ 90°, low angle first:
2θ/deg	d [Å]	intensity
11.3	7.804	57
13.8	6.410	25
14.1	6.291	100
15.1	5.860	30
15.6	5.697	97
18.8	4.730	27
19.0	4.667	24
24.9	3.581	30

# ThPS4Cl
Theoretical powder X-ray diffraction pattern, CuKα. Input: a cell relaxed with PBE.
Intensities are scaled so that the largest is 100.

Structural model:
```
data_ThPS4Cl
_chemical_formula_sum 'Th4 P4 S16 Cl4'
_cell_length_a 10.9519
_cell_length_b 8.8200
_cell_length_c 7.9707
_cell_angle_alpha 90.00
_cell_angle_beta 104.56
_cell_angle_gamma 90.00
_space_group_name_H-M_alt 'C 1 2/m 1'
_space_group_IT_number 12
_space_group_name_Hall '-C 2y'
loop_
_atom_site_label
_atom_site_type_symbol
_atom_site_fract_x
_atom_site_fract_y
_atom_site_fract_z
Th1 Th 0.2153 0.0000 0.1246
P1 P 0.1444 0.5000 0.2770
S1 S 0.0323 0.5000 0.6952
S2 S 0.1766 0.3253 0.1111
S3 S 0.2211 0.0000 0.4976
Cl1 Cl 0.0242 0.0000 0.8087
```

Top 8 peaks for 10° ≤ 2θ ≤ 90°, low angle first:
2θ/deg	d [Å]	intensity
11.5	7.715	99
16.0	5.555	76
16.7	5.300	68
20.1	4.410	100
22.6	3.931	45
24.6	3.612	51
32.9	2.720	40
38.1	2.361	40